# LiNi2OF3
Calculated X-ray powder pattern, CuKα. Input: a GGA+U-relaxed structure.
Neutral-atom scattering factors, no anomalous dispersion.

The 12 most intense peaks (2θ from 15° to 90°), low angle first:
hkl	d [Å]	two_theta	intensity
1 0 1	4.519	19.64	67
1 1 1	3.602	24.72	100
3 0 1	2.820	31.73	35
2 2 0	2.575	34.85	34
4 0 0	2.551	35.18	46
1 2 1	2.489	36.09	35
2 2 1	2.293	39.30	22
3 2 1	2.049	44.20	15
2 2 2	1.801	50.68	84
4 0 2	1.793	50.92	32
5 2 1	1.598	57.70	17
6 2 0	1.478	62.88	27

Lattice parameters (Å, degrees): 10.2101 5.9632 5.0397 90.00 90.00 90.00
Atoms (fractional coordinates):
Li 0.0908 0.2500 0.0290
Li 0.4092 0.7500 0.5290
Li 0.5908 0.2500 0.4710
Li 0.9092 0.7500 0.9710
Ni 0.0000 0.0000 0.5000
Ni 0.0000 0.5000 0.5000
Ni 0.2417 0.7500 0.9997
Ni 0.2583 0.2500 0.4997
Ni 0.5000 0.0000 0.0000
Ni 0.5000 0.5000 0.0000
Ni 0.7417 0.7500 0.5003
Ni 0.7583 0.2500 0.0003
O 0.0873 0.2500 0.6674
O 0.4127 0.7500 0.1674
O 0.5873 0.2500 0.8326
O 0.9127 0.7500 0.3326
F 0.0746 0.7500 0.7770
F 0.1681 0.0086 0.2328
F 0.1681 0.4914 0.2328
F 0.3319 0.5086 0.7328
F 0.3319 0.9914 0.7328
F 0.4254 0.2500 0.2770
F 0.5746 0.7500 0.7230
F 0.6681 0.0086 0.2672
F 0.6681 0.4914 0.2672
F 0.8319 0.5086 0.7672
F 0.8319 0.9914 0.7672
F 0.9254 0.2500 0.2230